K2LiNd4Nb2O12: computed powder XRD pattern (Cu Kα, 1.54184 Å), based on a structure optimized by DFT (PBE).
Neutral-atom scattering factors, no anomalous dispersion.

Peak list (8 most intense, 2θ from 5° to 70°, in order of falling intensity)
| d/Å | 2θ (°) | I (rel.) | hkl |
| --- | --- | --- | --- |
| 3.138 | 28.44 | 100 | 1 0 2 |
| 3.404 | 26.18 | 59 | 1 -2 1 |
| 8.488 | 10.42 | 43 | 0 0 1 |
| 2.984 | 29.94 | 33 | 1 1 -2 |
| 2.917 | 30.65 | 31 | 2 -1 0 |
| 2.974 | 30.05 | 28 | 1 -2 2 |
| 2.127 | 42.49 | 27 | 2 1 0 |
| 1.979 | 45.84 | 22 | -2 3 1 |

Structural model:
a = 5.8331 Å, b = 7.0739 Å, c = 8.8095 Å
α = 104.05°, β = 90.21°, γ = 114.19°
Space group P1 (No. 1)
Unique sites:
K 0.0000 0.0000 0.0000 x1
K 0.2820 0.4174 0.9239 x1
Li 0.1772 0.7340 0.0513 x1
Nd 0.0168 0.9422 0.5282 x1
Nd 0.2756 0.4695 0.4047 x1
Nd 0.5737 0.0613 0.2796 x1
Nd 0.7458 0.3952 0.6740 x1
Nb 0.4899 0.8949 0.7631 x1
Nb 0.7819 0.5329 0.1818 x1
O 0.1517 0.7895 0.2651 x1
O 0.1563 0.6868 0.6287 x1
O 0.3674 0.1108 0.7565 x1
O 0.4026 0.2220 0.4784 x1
O 0.4461 0.3062 0.1787 x1
O 0.4709 0.8609 0.9710 x1
O 0.6154 0.6809 0.6430 x1
O 0.6562 0.7450 0.3040 x1
O 0.8293 0.1096 0.7595 x1
O 0.8483 0.5725 0.9671 x1
O 0.9070 0.2152 0.4778 x1
O 0.9294 0.3273 0.1866 x1